(1)
Rb5Cl: calculated PXRD pattern (CuKα), based on a GGA-PBE-relaxed structure.
Peak positions follow from Bragg's law for the DFT cell and can differ from measured ones.

Atomic structure:
a = 13.182 Å, b = 13.182 Å, c = 8.150 Å
α = 90.00°, β = 90.00°, γ = 159.24°
Sites, in units of the cell vectors:
Rb1 0.000 0.000 0.000
Rb2 0.088 0.912 0.500
Rb3 0.330 0.670 0.000
Rb4 0.670 0.330 0.000
Rb5 0.912 0.088 0.500
Cl1 0.500 0.500 0.500

Peak list (10 most intense, 5 to 70 degrees two-theta, in order of rising 2θ)
- 2θ = 6.82°, I 52.6
- 2θ = 12.83°, I 32.8
- 2θ = 21.34°, I 29.0
- 2θ = 21.81°, I 71.8
- 2θ = 23.30°, I 84.5
- 2θ = 24.00°, I 100.0
- 2θ = 27.72°, I 24.3
- 2θ = 30.68°, I 29.5
- 2θ = 39.61°, I 26.0
- 2θ = 44.94°, I 29.9



(2)
Ac2MgAs3Pt12: calculated PXRD pattern (CuKα), based on a GGA-PBE-relaxed structure.
Peak positions follow from Bragg's law for the DFT cell and can differ from measured ones.

Atomic structure:
a = 7.880 Å, b = 7.880 Å, c = 7.880 Å
α = 65.26°, β = 65.26°, γ = 65.26°
Sites, in units of the cell vectors:
Ac1 0.116 0.116 0.116
Ac2 0.884 0.884 0.884
Mg1 0.500 0.500 0.500
As1 0.000 0.500 0.500
As2 0.500 0.000 0.500
As3 0.500 0.500 0.000
Pt1 0.132 0.628 0.628
Pt2 0.147 0.147 0.612
Pt3 0.147 0.612 0.147
Pt4 0.372 0.372 0.868
Pt5 0.372 0.868 0.372
Pt6 0.388 0.853 0.853
Pt7 0.612 0.147 0.147
Pt8 0.628 0.132 0.628
Pt9 0.628 0.628 0.132
Pt10 0.853 0.388 0.853
Pt11 0.853 0.853 0.388
Pt12 0.868 0.372 0.372

Peak list (10 most intense, 5 to 70 degrees two-theta, in order of rising 2θ)
- 2θ = 20.91°, I 6.0
- 2θ = 24.67°, I 10.6
- 2θ = 25.46°, I 7.8
- 2θ = 26.97°, I 7.3
- 2θ = 31.06°, I 100.0
- 2θ = 32.55°, I 4.8
- 2θ = 42.55°, I 63.7
- 2θ = 46.38°, I 44.1
- 2θ = 53.61°, I 20.9
- 2θ = 64.75°, I 16.0



(3)
Ca6Zn2Au: calculated PXRD pattern (CuKα), based on a GGA-PBE-relaxed structure.
Peak positions follow from Bragg's law for the DFT cell and can differ from measured ones.

Atomic structure:
a = 8.923 Å, b = 8.923 Å, c = 8.923 Å
α = 110.63°, β = 110.10°, γ = 107.70°
Sites, in units of the cell vectors:
Ca1 0.035 0.828 0.207
Ca2 0.254 0.561 0.308
Ca3 0.254 0.946 0.692
Ca4 0.259 0.325 0.584
Ca5 0.259 0.675 0.934
Ca6 0.378 0.172 0.207
Ca7 0.622 0.828 0.793
Ca8 0.741 0.325 0.066
Ca9 0.741 0.675 0.416
Ca10 0.746 0.054 0.308
Ca11 0.746 0.439 0.692
Ca12 0.965 0.172 0.793
Zn1 0.000 0.140 0.140
Zn2 0.000 0.860 0.860
Zn3 0.381 0.381 0.000
Zn4 0.619 0.619 0.000
Au1 0.000 0.500 0.500
Au2 0.500 0.000 0.500

Peak list (10 most intense, 5 to 70 degrees two-theta, in order of rising 2θ)
- 2θ = 16.84°, I 42.2
- 2θ = 17.35°, I 55.0
- 2θ = 17.46°, I 38.9
- 2θ = 20.90°, I 31.7
- 2θ = 30.06°, I 100.0
- 2θ = 32.65°, I 82.8
- 2θ = 32.84°, I 44.3
- 2θ = 35.11°, I 42.1
- 2θ = 36.34°, I 34.6
- 2θ = 44.45°, I 37.9



(4)
Ta3Mn8Si: calculated PXRD pattern (CuKα), based on a GGA-PBE-relaxed structure.
Peak positions follow from Bragg's law for the DFT cell and can differ from measured ones.

Atomic structure:
a = 4.750 Å, b = 4.750 Å, c = 7.820 Å
α = 90.00°, β = 90.00°, γ = 120.00°
Sites, in units of the cell vectors:
Ta1 0.000 0.000 0.000
Ta2 0.000 0.000 0.377
Ta3 0.333 0.667 0.854
Mn1 0.015 0.507 0.187
Mn2 0.324 0.162 0.682
Mn3 0.493 0.507 0.187
Mn4 0.493 0.985 0.187
Mn5 0.667 0.333 0.438
Mn6 0.667 0.333 0.944
Mn7 0.838 0.162 0.682
Mn8 0.838 0.676 0.682
Si1 0.333 0.667 0.495

Peak list (10 most intense, 5 to 70 degrees two-theta, in order of rising 2θ)
- 2θ = 11.32°, I 17.2
- 2θ = 21.60°, I 25.1
- 2θ = 24.45°, I 31.0
- 2θ = 31.57°, I 30.9
- 2θ = 37.89°, I 61.9
- 2θ = 40.99°, I 100.0
- 2θ = 44.03°, I 16.5
- 2θ = 44.64°, I 87.6
- 2θ = 45.61°, I 57.6
- 2θ = 68.43°, I 11.0



(5)
SrPmMnN4: calculated PXRD pattern (CuKα), based on a GGA-PBE-relaxed structure.
Peak positions follow from Bragg's law for the DFT cell and can differ from measured ones.

Atomic structure:
a = 5.728 Å, b = 5.455 Å, c = 7.157 Å
α = 90.00°, β = 106.39°, γ = 90.00°
Sites, in units of the cell vectors:
Sr1 0.218 0.250 0.432
Sr2 0.782 0.750 0.568
Pm1 0.272 0.250 0.953
Pm2 0.728 0.750 0.047
Mn1 0.276 0.750 0.193
Mn2 0.724 0.250 0.807
N1 0.082 0.750 0.336
N2 0.111 0.750 0.955
N3 0.466 0.504 0.235
N4 0.466 0.996 0.235
N5 0.534 0.004 0.765
N6 0.534 0.496 0.765
N7 0.889 0.250 0.045
N8 0.918 0.250 0.664

Peak list (10 most intense, 5 to 70 degrees two-theta, in order of rising 2θ)
- 2θ = 12.89°, I 60.7
- 2θ = 22.97°, I 100.0
- 2θ = 30.77°, I 52.5
- 2θ = 31.20°, I 70.5
- 2θ = 32.59°, I 48.1
- 2θ = 32.84°, I 68.7
- 2θ = 35.62°, I 42.7
- 2θ = 38.35°, I 58.5
- 2θ = 39.39°, I 44.2
- 2θ = 46.94°, I 52.8